No. 1
# La3Pm5Te8
Calculated powder XRD pattern, Cu Kα (weighted mean of Kα1 and Kα2). Input: a DFT-relaxed cell (PBE, Alexandria).

Main lines, by angle (2θ = 15–90°):
| 2θ/deg | I (rel.) |
| --- | --- |
| 27.97 | 100.0 |
| 39.91 | 38.5 |
| 40.04 | 38.0 |
| 49.44 | 20.7 |
| 49.66 | 6.8 |
| 57.81 | 12.9 |
| 65.33 | 17.8 |
| 65.52 | 17.5 |
| 72.52 | 19.5 |
| 72.83 | 6.4 |

a b c (Å): 9.0365 9.0365 22.0280
angles (deg): 90.00 90.00 120.00
Space group R-3m (No. 166, hexagonal axes)
Inequivalent atoms, fractional coordinates:
1 La 0.0000 0.5000 0.0000 (multiplicity 9)
2 Pm 0.0000 0.0000 0.0000 (multiplicity 3)
3 Pm 0.0000 0.0000 0.5000 (multiplicity 3)
4 Pm 0.0000 0.5000 0.5000 (multiplicity 9)
5 Te 0.0000 0.0000 0.2476 (multiplicity 6)
6 Te 0.0032 0.5016 0.7516 (multiplicity 18)

No. 2
# PrI2
Calculated powder XRD pattern, Cu Kα (weighted mean of Kα1 and Kα2). Input: a DFT-relaxed cell (PBE, Alexandria).

Main lines, by angle (2θ = 15–90°):
| 2θ/deg | I (rel.) |
| --- | --- |
| 23.42 | 22.6 |
| 24.48 | 16.6 |
| 28.34 | 100.0 |
| 30.94 | 19.3 |
| 34.89 | 12.8 |
| 37.08 | 11.2 |
| 40.51 | 70.4 |
| 50.17 | 23.4 |
| 66.38 | 25.8 |
| 73.69 | 17.9 |

a b c (Å): 12.5969 12.5969 12.5969
angles (deg): 90.00 90.00 90.00
Space group F-43m (No. 216)
Inequivalent atoms, fractional coordinates:
1 Pr 0.1116 0.1116 0.3884 (multiplicity 16)
2 I 0.1267 0.1267 0.1267 (multiplicity 16)
3 I 0.1376 0.1376 0.6376 (multiplicity 16)

No. 3
# Er5PtPb2
Calculated powder XRD pattern, Cu Kα (weighted mean of Kα1 and Kα2). Input: a DFT-relaxed cell (PBE, Alexandria).

Main lines, by angle (2θ = 15–90°):
| 2θ/deg | I (rel.) |
| --- | --- |
| 30.74 | 100.0 |
| 31.25 | 68.5 |
| 31.54 | 57.3 |
| 33.30 | 94.9 |
| 35.35 | 36.6 |
| 39.85 | 55.5 |
| 43.45 | 24.3 |
| 50.11 | 20.2 |
| 51.49 | 34.3 |
| 64.06 | 17.1 |

a b c (Å): 7.9847 12.2726 4.5245
angles (deg): 90.00 90.00 90.00
Space group Pbam (No. 55)
Inequivalent atoms, fractional coordinates:
1 Er 0.0000 0.0000 0.0000 (multiplicity 2)
2 Er 0.1493 0.2954 0.0000 (multiplicity 4)
3 Er 0.1824 0.5683 0.5000 (multiplicity 4)
4 Pt 0.0000 0.5000 0.0000 (multiplicity 2)
5 Pb 0.0679 0.8279 0.5000 (multiplicity 4)

No. 4
# Nd3Sm2Ga4
Calculated powder XRD pattern, Cu Kα (weighted mean of Kα1 and Kα2). Input: a DFT-relaxed cell (PBE, Alexandria).

Main lines, by angle (2θ = 15–90°):
| 2θ/deg | I (rel.) |
| --- | --- |
| 24.89 | 16.2 |
| 28.70 | 21.8 |
| 30.54 | 49.3 |
| 31.33 | 100.0 |
| 31.74 | 64.4 |
| 32.57 | 25.7 |
| 33.93 | 27.7 |
| 34.94 | 39.6 |
| 37.53 | 35.2 |
| 45.81 | 25.4 |

a b c (Å): 8.2346 8.2394 7.5198
angles (deg): 90.00 105.71 90.00
Space group P2_1/c (No. 14)
Inequivalent atoms, fractional coordinates:
1 Nd 0.0000 0.0000 0.0000 (multiplicity 2)
2 Nd 0.2648 0.1750 0.7470 (multiplicity 4)
3 Sm 0.3138 0.6877 0.9275 (multiplicity 4)
4 Ga 0.0166 0.6246 0.1156 (multiplicity 4)
5 Ga 0.4199 0.0282 0.1355 (multiplicity 4)

No. 5
# CsNpSeF2
Calculated powder XRD pattern, Cu Kα (weighted mean of Kα1 and Kα2). Input: a DFT-relaxed cell (PBE, Alexandria).

Main lines, by angle (2θ = 15–90°):
| 2θ/deg | I (rel.) |
| --- | --- |
| 22.09 | 25.5 |
| 23.49 | 61.1 |
| 24.57 | 74.2 |
| 29.80 | 24.1 |
| 31.03 | 100.0 |
| 35.37 | 32.2 |
| 41.94 | 17.4 |
| 42.90 | 42.6 |
| 43.33 | 26.3 |
| 50.35 | 17.5 |

a b c (Å): 4.1744 15.1517 8.2560
angles (deg): 90.00 90.00 90.00
Space group Cmcm (No. 63)
Inequivalent atoms, fractional coordinates:
1 Cs 0.0000 0.2337 0.2500 (multiplicity 4)
2 Np 0.0000 0.5000 0.0000 (multiplicity 4)
3 Se 0.0000 0.0222 0.7500 (multiplicity 4)
4 F 0.0000 0.3560 0.5392 (multiplicity 8)

No. 6
# Tl12GaHg7
Calculated powder XRD pattern, Cu Kα (weighted mean of Kα1 and Kα2). Input: a DFT-relaxed cell (PBE, Alexandria).

Main lines, by angle (2θ = 15–90°):
| 2θ/deg | I (rel.) |
| --- | --- |
| 30.99 | 100.0 |
| 31.82 | 54.9 |
| 33.64 | 23.6 |
| 34.02 | 62.3 |
| 34.22 | 12.7 |
| 34.42 | 42.5 |
| 34.98 | 34.4 |
| 36.85 | 15.1 |
| 52.83 | 12.2 |
| 58.50 | 17.4 |

a b c (Å): 13.8639 13.8639 10.5023
angles (deg): 90.00 90.00 120.00
Space group R-3 (No. 148, hexagonal axes)
Inequivalent atoms, fractional coordinates:
1 Tl 0.0124 0.7471 0.0146 (multiplicity 18)
2 Tl 0.0653 0.8983 0.7447 (multiplicity 18)
3 Ga 0.0000 0.0000 0.5000 (multiplicity 3)
4 Hg 0.0000 0.0000 0.0000 (multiplicity 3)
5 Hg 0.0656 0.5554 0.1168 (multiplicity 18)